# TbTmI3
Simulated powder diffractogram, λ = 1.5418 Å (Cu Kα). Input: a PBE-relaxed structure.
Lines closer than 0.1° are merged.

Main lines, by angle (2θ = 10–80°):
d (Å), 2θ/deg, intensity
4.820, 18.41, 20
3.290, 27.10, 23
3.050, 29.29, 100
2.386, 37.70, 37
2.264, 39.81, 19
2.029, 44.65, 18

Lattice parameters (Å, degrees): 10.6288 10.6288 11.3210 112.04 112.04 22.01
Fractional coordinates of all 10 atoms:
Tb 0.0729 0.0729 0.2431
Tb 0.9271 0.9271 0.7569
Tm 0.4297 0.4297 0.0282
Tm 0.5703 0.5703 0.9718
I 0.0743 0.0743 0.7624
I 0.1860 0.1860 0.1341
I 0.3633 0.3633 0.5407
I 0.6367 0.6367 0.4593
I 0.8140 0.8140 0.8659
I 0.9257 0.9257 0.2376



# TbYI6
Simulated powder diffractogram, λ = 1.5418 Å (Cu Kα). Input: a PBE-relaxed structure.
Lines closer than 0.1° are merged.

Main lines, by angle (2θ = 10–80°):
d (Å), 2θ/deg, intensity
5.575, 15.90, 29
3.343, 26.67, 100
2.560, 35.06, 44
2.207, 40.90, 37
1.969, 46.09, 22
1.842, 49.49, 18

Lattice parameters (Å, degrees): 8.1849 8.1849 8.1849 55.68 55.68 55.68
Fractional coordinates of all 8 atoms:
Tb 0.0000 0.0000 0.0000
Y 0.5000 0.5000 0.5000
I 0.0912 0.7496 0.4095
I 0.2504 0.5905 0.9088
I 0.4095 0.0912 0.7496
I 0.5905 0.9088 0.2504
I 0.7496 0.4095 0.0912
I 0.9088 0.2504 0.5905



# TbYI5
Simulated powder diffractogram, λ = 1.5418 Å (Cu Kα). Input: a PBE-relaxed structure.
Lines closer than 0.1° are merged.

Main lines, by angle (2θ = 10–80°):
d (Å), 2θ/deg, intensity
8.096, 10.93, 100
3.408, 26.15, 59
3.112, 28.69, 55
3.057, 29.22, 44
2.476, 36.28, 43
2.219, 40.66, 45

Lattice parameters (Å, degrees): 9.5082 4.1163 15.7119 90.00 90.62 90.00
Fractional coordinates of all 14 atoms:
Tb 0.1619 0.2500 0.3178
Tb 0.8381 0.7500 0.6822
Y 0.4204 0.7500 0.1410
Y 0.5796 0.2500 0.8590
I 0.0724 0.2500 0.7162
I 0.1781 0.2500 0.1180
I 0.2344 0.7500 0.4560
I 0.3612 0.7500 0.9325
I 0.4863 0.2500 0.2872
I 0.5137 0.7500 0.7128
I 0.6388 0.2500 0.0675
I 0.7656 0.2500 0.5440
I 0.8219 0.7500 0.8820
I 0.9276 0.7500 0.2838



# Tb2YI5
Simulated powder diffractogram, λ = 1.5418 Å (Cu Kα). Input: a PBE-relaxed structure.
Lines closer than 0.1° are merged.

Main lines, by angle (2θ = 10–80°):
d (Å), 2θ/deg, intensity
8.727, 10.14, 52
3.520, 25.30, 100
3.332, 26.75, 35
3.114, 28.67, 39
2.852, 31.37, 57
2.525, 35.55, 34

Lattice parameters (Å, degrees): 10.2016 16.8536 7.7474 90.00 90.00 90.00
Fractional coordinates of all 32 atoms:
Tb 0.0000 0.0000 0.2219
Tb 0.0000 0.0000 0.7781
Tb 0.2018 0.3154 0.0000
Tb 0.2982 0.8154 0.5000
Tb 0.5000 0.5000 0.2781
Tb 0.5000 0.5000 0.7219
Tb 0.7018 0.1846 0.5000
Tb 0.7982 0.6846 0.0000
Y 0.1560 0.8454 0.0000
Y 0.3440 0.3454 0.5000
Y 0.6560 0.6546 0.5000
Y 0.8440 0.1546 0.0000
I 0.0054 0.1482 0.5000
I 0.0918 0.6695 0.0000
I 0.1541 0.1352 0.0000
I 0.1972 0.4559 0.2512
I 0.1972 0.4559 0.7488
I 0.3028 0.9559 0.2488
I 0.3028 0.9559 0.7512
I 0.3459 0.6352 0.5000
I 0.4082 0.1695 0.5000
I 0.4946 0.6482 0.0000
I 0.5054 0.3518 0.0000
I 0.5918 0.8305 0.5000
I 0.6541 0.3648 0.5000
I 0.6972 0.0441 0.2488
I 0.6972 0.0441 0.7512
I 0.8028 0.5441 0.2512
I 0.8028 0.5441 0.7488
I 0.8459 0.8648 0.0000
I 0.9082 0.3305 0.0000
I 0.9946 0.8518 0.5000



# TbZn2I6
Simulated powder diffractogram, λ = 1.5418 Å (Cu Kα). Input: a PBE-relaxed structure.
Lines closer than 0.1° are merged.

Main lines, by angle (2θ = 10–80°):
d (Å), 2θ/deg, intensity
6.793, 13.03, 65
4.717, 18.81, 75
4.371, 20.32, 71
3.524, 25.28, 100
3.234, 27.58, 68
3.016, 29.62, 65

Lattice parameters (Å, degrees): 10.0333 10.0333 8.8657 104.80 104.80 85.22
Fractional coordinates of all 18 atoms:
Tb 0.0792 0.9208 0.7500
Tb 0.9208 0.0792 0.2500
Zn 0.2197 0.4015 0.7470
Zn 0.4015 0.2197 0.2470
Zn 0.5985 0.7803 0.7530
Zn 0.7803 0.5985 0.2530
I 0.0046 0.1944 0.6290
I 0.0458 0.6333 0.7607
I 0.1944 0.0046 0.1290
I 0.3454 0.3810 0.0446
I 0.3667 0.9542 0.7393
I 0.3810 0.3454 0.5446
I 0.6190 0.6546 0.4554
I 0.6333 0.0458 0.2607
I 0.6546 0.6190 0.9554
I 0.8056 0.9954 0.8710
I 0.9542 0.3667 0.2393
I 0.9954 0.8056 0.3710



# TbZrI
Simulated powder diffractogram, λ = 1.5418 Å (Cu Kα). Input: a PBE-relaxed structure.
Lines closer than 0.1° are merged.

Main lines, by angle (2θ = 10–80°):
d (Å), 2θ/deg, intensity
3.311, 26.93, 45
2.838, 31.53, 78
2.776, 32.24, 100
2.423, 37.10, 85
1.963, 46.25, 36
1.525, 60.71, 40

Lattice parameters (Å, degrees): 5.5524 5.5525 12.3200 90.00 90.09 90.00
Fractional coordinates of all 12 atoms:
Tb 0.2491 0.0000 0.2911
Tb 0.2509 0.5000 0.7089
Tb 0.7491 0.5000 0.2911
Tb 0.7509 0.0000 0.7089
Zr 0.2502 0.0000 0.5506
Zr 0.2498 0.5000 0.4494
Zr 0.7498 0.0000 0.4494
Zr 0.7502 0.5000 0.5506
I 0.2486 0.5000 0.1496
I 0.2514 0.0000 0.8504
I 0.7486 0.0000 0.1496
I 0.7514 0.5000 0.8504



# Tc3WI
Simulated powder diffractogram, λ = 1.5418 Å (Cu Kα). Input: a PBE-relaxed structure.
Lines closer than 0.1° are merged.

Main lines, by angle (2θ = 10–80°):
d (Å), 2θ/deg, intensity
4.829, 18.37, 39
3.415, 26.10, 57
2.788, 32.10, 33
2.414, 37.24, 100
1.971, 46.04, 25
1.707, 53.69, 69

Lattice parameters (Å, degrees): 4.8289 4.8289 4.8289 90.00 90.00 90.00
Fractional coordinates of all 5 atoms:
Tc 0.0000 0.0000 0.5000
Tc 0.0000 0.5000 0.0000
Tc 0.5000 0.0000 0.0000
W 0.0000 0.0000 0.0000
I 0.5000 0.5000 0.5000



# ZrTcI
Simulated powder diffractogram, λ = 1.5418 Å (Cu Kα). Input: a PBE-relaxed structure.
Lines closer than 0.1° are merged.

Main lines, by angle (2θ = 10–80°):
d (Å), 2θ/deg, intensity
2.870, 31.16, 100
2.485, 36.14, 22
2.367, 38.02, 29
2.011, 45.09, 51
1.647, 55.82, 19
1.408, 66.41, 23

Lattice parameters (Å, degrees): 12.0530 12.0530 12.0530 19.21 19.21 19.21
Fractional coordinates of all 6 atoms:
Zr 0.0542 0.0542 0.0542
Zr 0.9458 0.9458 0.9458
Tc 0.3419 0.3419 0.3419
Tc 0.6581 0.6581 0.6581
I 0.2218 0.2218 0.2218
I 0.7782 0.7782 0.7782



# TeI
Simulated powder diffractogram, λ = 1.5418 Å (Cu Kα). Input: a PBE-relaxed structure.
Lines closer than 0.1° are merged.

Main lines, by angle (2θ = 10–80°):
d (Å), 2θ/deg, intensity
7.977, 11.09, 62
6.203, 14.28, 100
3.697, 24.07, 99
3.489, 25.53, 40
3.239, 27.54, 46
2.998, 29.81, 75

Lattice parameters (Å, degrees): 7.1942 7.8129 8.8755 72.50 67.66 76.61
Fractional coordinates of all 8 atoms:
Te 0.0000 0.0000 0.0000
Te 0.0722 0.5745 0.0826
Te 0.3292 0.0324 0.7191
Te 0.8433 0.4169 0.9737
I 0.2264 0.5622 0.7084
I 0.5316 0.2986 0.2783
I 0.6410 0.0203 0.8421
I 0.8342 0.5758 0.4152



# ThTe2I
Simulated powder diffractogram, λ = 1.5418 Å (Cu Kα). Input: a PBE-relaxed structure.
Lines closer than 0.1° are merged.

Main lines, by angle (2θ = 10–80°):
d (Å), 2θ/deg, intensity
3.709, 23.99, 96
3.688, 24.13, 100
2.860, 31.27, 73
2.414, 37.25, 46
2.239, 40.28, 69
2.144, 42.15, 48

Lattice parameters (Å, degrees): 4.5206 4.5219 9.6019 84.14 84.73 60.22
Fractional coordinates of all 4 atoms:
Th 0.0000 0.0000 0.0000
Te 0.3543 0.3628 0.8138
Te 0.6457 0.6372 0.1862
I 0.5000 0.5000 0.5000



# Th6Te12I
Simulated powder diffractogram, λ = 1.5418 Å (Cu Kα). Input: a PBE-relaxed structure.
Lines closer than 0.1° are merged.

Main lines, by angle (2θ = 10–80°):
d (Å), 2θ/deg, intensity
4.423, 20.08, 45
3.367, 26.48, 46
2.824, 31.69, 100
2.774, 32.27, 57
2.596, 34.55, 37
2.319, 38.83, 44

Lattice parameters (Å, degrees): 9.2776 9.2776 9.2776 104.42 104.42 104.42
Fractional coordinates of all 19 atoms:
Th 0.2541 0.2541 0.6717
Th 0.2541 0.6717 0.2541
Th 0.3283 0.7459 0.7459
Th 0.6717 0.2541 0.2541
Th 0.7459 0.3283 0.7459
Th 0.7459 0.7459 0.3283
Te 0.1263 0.5000 0.8737
Te 0.1263 0.8737 0.5000
Te 0.1760 0.4435 0.4435
Te 0.4435 0.1760 0.4435
Te 0.4435 0.4435 0.1760
Te 0.5000 0.1263 0.8737
Te 0.5000 0.8737 0.1263
Te 0.5565 0.5565 0.8240
Te 0.5565 0.8240 0.5565
Te 0.8240 0.5565 0.5565
Te 0.8737 0.1263 0.5000
Te 0.8737 0.5000 0.1263
I 0.0000 0.0000 0.0000



# Th2TiTe2I4
Simulated powder diffractogram, λ = 1.5418 Å (Cu Kα). Input: a PBE-relaxed structure.
Lines closer than 0.1° are merged.

Main lines, by angle (2θ = 10–80°):
d (Å), 2θ/deg, intensity
8.254, 10.72, 96
3.398, 26.23, 74
2.979, 30.00, 100
2.802, 31.94, 91
2.450, 36.67, 48
1.962, 46.28, 59

Lattice parameters (Å, degrees): 3.9234 3.9234 24.7619 90.00 90.00 120.00
Fractional coordinates of all 9 atoms:
Th 0.0000 0.0000 0.0000
Th 0.3333 0.6667 0.3504
Ti 0.3333 0.6667 0.6874
Te 0.0000 0.0000 0.6175
Te 0.0000 0.0000 0.7575
I 0.0000 0.0000 0.2580
I 0.0000 0.0000 0.4425
I 0.3333 0.6667 0.0925
I 0.3333 0.6667 0.9081